Diffraction record for KMg2AlFeSi3O12. The powder diffractogram is simulated, not measured: it uses a structure optimized by DFT (GGA+U) and Cu Kα, 1.54184 Å.

```
data_KMg2AlFeSi3O12
_cell_length_a 5.3021
_cell_length_b 5.3349
_cell_length_c 10.4853
_cell_angle_alpha 86.14
_cell_angle_beta 81.37
_cell_angle_gamma 60.52
_space_group_name_H-M_alt 'P 1'
_space_group_IT_number 1
_space_group_name_Hall 'P 1'
loop_
_atom_site_label
_atom_site_fract_x
_atom_site_fract_y
_atom_site_fract_z
K1 0.0000 0.0000 0.0000
Mg1 0.1660 0.6829 0.4700
Mg2 0.8440 0.3273 0.4692
Al1 0.6017 0.6744 0.2023
Fe1 0.4987 0.0021 0.4696
Si1 0.2692 0.3358 0.1985
Si2 0.4108 0.3336 0.7414
Si3 0.7458 0.6693 0.7415
O1 0.0608 0.5055 0.8007
O2 0.1758 0.0103 0.5636
O3 0.2130 0.3357 0.3613
O4 0.3761 0.5662 0.1462
O5 0.4627 0.3347 0.5841
O6 0.5102 0.0172 0.1419
O7 0.5417 0.6748 0.3743
O8 0.5597 0.0027 0.7991
O9 0.5635 0.5001 0.7989
O10 0.8039 0.6666 0.5850
O11 0.8227 0.0020 0.3861
O12 0.9627 0.4290 0.1447
```

Main lines, by angle (2θ from 5° to 70°):
two_theta  I/Imax  h k l
8.53  100  0 0 1
19.45  27  1 1 0
22.28  23  1 0 -1
25.66  25  0 1 -2
25.81  56  0 0 3
27.68  14  1 0 -2
30.25  13  1 0 3
33.96  20  1 -1 1
34.21  33  1 2 1
36.57  20  1 -1 2